1.
The following is a calculated powder XRD pattern of NpGaRe. It was derived from DFT lattice parameters and positions (GGA-PBE), using Cu Kα (λ = 1.5418 Å).
Lines closer than 0.1° are merged.

Largest 11 diffraction maxima, by angle, 2θ from 10° to 90°:
| two_theta | I/Imax |
| --- | --- |
| 24.45 | 60 |
| 28.31 | 8 |
| 40.46 | 100 |
| 47.84 | 31 |
| 50.11 | 2 |
| 58.55 | 17 |
| 64.40 | 13 |
| 66.29 | 3 |
| 73.58 | 35 |
| 78.88 | 10 |
| 87.51 | 12 |

Structure:
Unit cell a=4.4590 b=4.4590 c=4.4590 alpha=60.00 beta=60.00 gamma=60.00
Fractional coordinates of all 3 atoms:
Np 0.0000 0.0000 0.0000
Ga 0.5000 0.5000 0.5000
Re 0.2500 0.2500 0.2500

=====

2.
The following is a calculated powder XRD pattern of GdDyBr6. It was derived from DFT lattice parameters and positions (GGA-PBE), using Cu Kα (λ = 1.5418 Å).
Lines closer than 0.1° are merged.

Largest 12 diffraction maxima, by angle, 2θ from 10° to 90°:
| two_theta | I/Imax |
| --- | --- |
| 13.57 | 59 |
| 14.25 | 18 |
| 15.06 | 31 |
| 16.85 | 22 |
| 25.30 | 37 |
| 30.79 | 50 |
| 31.04 | 100 |
| 43.70 | 18 |
| 43.87 | 36 |
| 44.71 | 35 |
| 45.24 | 20 |
| 54.41 | 19 |

Structure:
Unit cell a=7.1673 b=7.1673 c=6.9760 alpha=100.17 beta=100.17 gamma=120.24
Fractional coordinates of all 8 atoms:
Gd 0.0000 0.0000 0.0000
Dy 0.6694 0.3306 0.0000
Br 0.0652 0.3985 0.2472
Br 0.2542 0.2284 0.7549
Br 0.4208 0.1044 0.2446
Br 0.6015 0.9348 0.7528
Br 0.7716 0.7458 0.2451
Br 0.8956 0.5792 0.7554

=====

3.
The following is a calculated powder XRD pattern of RbNdSiC4N8. It was derived from DFT lattice parameters and positions (GGA-PBE), using Cu Kα (λ = 1.5418 Å).
Lines closer than 0.1° are merged.

Largest 12 diffraction maxima, by angle, 2θ from 10° to 90°:
| two_theta | I/Imax |
| --- | --- |
| 14.82 | 71 |
| 16.89 | 92 |
| 21.02 | 64 |
| 27.08 | 81 |
| 29.89 | 75 |
| 30.60 | 100 |
| 34.53 | 28 |
| 40.77 | 30 |
| 43.31 | 76 |
| 46.31 | 22 |
| 48.14 | 24 |
| 62.51 | 27 |

Structure:
Unit cell a=6.8519 b=6.8519 c=6.8519 alpha=103.82 beta=103.82 gamma=121.48
Fractional coordinates of all 15 atoms:
Rb 0.0000 0.0000 0.0000
Nd 0.2500 0.7500 0.5000
Si 0.7500 0.2500 0.5000
C 0.0954 0.1779 0.5313
C 0.4360 0.9046 0.0826
C 0.6466 0.5640 0.4687
C 0.8221 0.3534 0.9174
N 0.0105 0.2922 0.4740
N 0.1772 0.0713 0.5815
N 0.4043 0.8228 0.8942
N 0.4635 0.9895 0.2817
N 0.4899 0.5957 0.4185
N 0.7078 0.1818 0.7183
N 0.8182 0.5365 0.5260
N 0.9287 0.5101 0.1058

=====

4.
The following is a calculated powder XRD pattern of LiMg2Ir. It was derived from DFT lattice parameters and positions (GGA-PBE), using Cu Kα (λ = 1.5418 Å).
Lines closer than 0.1° are merged.

Largest 12 diffraction maxima, by angle, 2θ from 10° to 90°:
| two_theta | I/Imax |
| --- | --- |
| 19.71 | 100 |
| 28.02 | 26 |
| 28.41 | 12 |
| 34.82 | 49 |
| 40.04 | 30 |
| 40.33 | 59 |
| 45.01 | 24 |
| 49.83 | 11 |
| 54.09 | 28 |
| 72.94 | 20 |
| 73.52 | 10 |
| 76.99 | 10 |

Structure:
Unit cell a=5.4905 b=5.4905 c=5.4905 alpha=110.21 beta=109.01 gamma=109.20
Fractional coordinates of all 8 atoms:
Li 0.4991 0.2491 0.2500
Li 0.5009 0.7509 0.7500
Mg 0.0000 0.2504 0.2504
Mg 0.0000 0.7496 0.7496
Mg 0.5000 0.2504 0.7504
Mg 0.5000 0.7496 0.2496
Ir 0.9997 0.2497 0.7500
Ir 0.0003 0.7503 0.2500

=====

5.
The following is a calculated powder XRD pattern of PaPtNO. It was derived from DFT lattice parameters and positions (GGA-PBE), using Cu Kα (λ = 1.5418 Å).
Lines closer than 0.1° are merged.

Largest 12 diffraction maxima, by angle, 2θ from 10° to 90°:
| two_theta | I/Imax |
| --- | --- |
| 12.95 | 51 |
| 21.19 | 96 |
| 25.26 | 100 |
| 30.43 | 89 |
| 33.77 | 40 |
| 34.09 | 92 |
| 39.53 | 25 |
| 42.63 | 32 |
| 43.17 | 33 |
| 44.00 | 34 |
| 48.75 | 71 |
| 58.33 | 27 |

Structure:
Unit cell a=4.1156 b=6.8388 c=5.3089 alpha=90.00 beta=90.00 gamma=90.00
Fractional coordinates of all 8 atoms:
Pa 0.0000 0.2120 0.0000
Pa 0.0000 0.7880 0.5000
Pt 0.5000 0.4873 0.5873
Pt 0.5000 0.5127 0.0873
N 0.5000 0.2686 0.8416
N 0.5000 0.7314 0.3416
O 0.0000 0.0828 0.3684
O 0.0000 0.9172 0.8684